The following is a calculated powder diffractogram of LiTmZr. It was derived from a structure optimized by DFT (GGA-PBE), using Cu Kα X-rays.
Kinematic intensities with the Lorentz-polarization factor, no thermal factor.

Principal peaks in the range 2θ = 10–90°, sorted by position:
index	2θ/deg	I_rel
0 0 1	10.9	100
0 0 2	21.9	15
1 0 0	31.7	23
0 0 3	33.1	24
1 0 1	33.6	86
0 1 2	38.9	62
0 1 3	46.5	16
1 0 4	55.8	18
1 1 0	56.5	16
1 1 3	67.1	18

Structure:
```
data_LiTmZr
_cell_length_a 3.2576
_cell_length_b 3.2576
_cell_length_c 8.1126
_cell_angle_alpha 90.00
_cell_angle_beta 90.00
_cell_angle_gamma 120.00
_symmetry_space_group_name_H-M 'P 3 m 1'
_symmetry_Int_Tables_number 156
loop_
_symmetry_equiv_pos_as_xyz
'x,y,z'
'-y,x-y,z'
'-x+y,-x,z'
'-y,-x,z'
'-x+y,y,z'
'x,x-y,z'
loop_
_atom_site_label
_atom_site_fract_x
_atom_site_fract_y
_atom_site_fract_z
Li1 0.0000 0.0000 0.0000
Tm1 0.3333 0.6667 0.6470
Zr1 0.6667 0.3333 0.3281
```

***

The following is a calculated powder diffractogram of LiAcInAu2. It was derived from a structure optimized by DFT (GGA-PBE), using Cu Kα X-rays.
Kinematic intensities with the Lorentz-polarization factor, no thermal factor.

Principal peaks in the range 2θ = 10–90°, sorted by position:
index	2θ/deg	I_rel
0 0 2	13.4	26
1 0 1	21.9	23
1 0 3	29.1	100
1 1 0	29.6	67
1 1 2	32.6	76
1 0 5	40.1	92
2 0 0	42.3	58
2 1 3	52.2	41
2 1 5	59.7	58
2 2 0	61.4	19

Structure:
```
data_LiAcInAu2
_cell_length_a 4.272
_cell_length_b 4.272
_cell_length_c 13.206
_cell_angle_alpha 90.00
_cell_angle_beta 90.00
_cell_angle_gamma 90.00
_symmetry_space_group_name_H-M 'I -4 m 2'
_symmetry_Int_Tables_number 119
_symmetry_space_group_name_Hall 'I -4 -2'
loop_
_atom_site_label
_atom_site_fract_x
_atom_site_fract_y
_atom_site_fract_z
Li1 0.000 0.000 0.000
Ac1 0.000 0.500 0.250
In1 0.000 0.000 0.500
Au1 0.000 0.500 0.641
```

***

The following is a calculated powder diffractogram of CoAuSe2. It was derived from a structure optimized by DFT (GGA-PBE), using Cu Kα X-rays.
Kinematic intensities with the Lorentz-polarization factor, no thermal factor.

Principal peaks in the range 2θ = 10–90°, sorted by position:
index	2θ/deg	I_rel
0 2 0	15.9	100
1 1 -1	20.1	46
2 0 0	23.9	22
0 2 1	24.6	87
2 2 0	28.8	40
1 3 -1	30.3	58
1 1 -2	36.5	33
3 1 0	37.1	31
0 4 1	37.4	34
4 2 -1	48.9	25

Structure:
```
data_CoAuSe2
_cell_length_a 7.925
_cell_length_b 11.169
_cell_length_c 5.051
_cell_angle_alpha 90.00
_cell_angle_beta 110.00
_cell_angle_gamma 90.00
_symmetry_space_group_name_H-M 'C 1 2/c 1'
_symmetry_Int_Tables_number 15
loop_
_symmetry_equiv_pos_as_xyz
'x,y,z'
'-x,-y,-z'
'-x,y,-z+1/2'
'x,-y,z+1/2'
'x+1/2,y+1/2,z'
'-x+1/2,-y+1/2,-z'
'-x+1/2,y+1/2,-z+1/2'
'x+1/2,-y+1/2,z+1/2'
loop_
_atom_site_label
_atom_site_fract_x
_atom_site_fract_y
_atom_site_fract_z
Co1 0.000 0.000 0.250
Au1 0.000 0.436 0.250
Se1 0.178 0.119 0.595
```

***

The following is a calculated powder diffractogram of CaY2Si. It was derived from a structure optimized by DFT (GGA-PBE), using Cu Kα X-rays.
Kinematic intensities with the Lorentz-polarization factor, no thermal factor.

Principal peaks in the range 2θ = 10–90°, sorted by position:
index	2θ/deg	I_rel
0 0 1	19.5	18
1 1 0	26.4	17
1 1 1	33.0	100
2 0 0	37.7	34
0 0 2	39.6	15
2 2 0	54.3	11
2 0 2	55.8	21
3 1 1	65.1	26
1 1 3	67.7	11
2 2 2	69.3	11

Structure:
```
data_CaY2Si
_cell_length_a 4.775
_cell_length_b 4.775
_cell_length_c 4.551
_cell_angle_alpha 90.00
_cell_angle_beta 90.00
_cell_angle_gamma 90.00
_symmetry_space_group_name_H-M 'P 4/m m m'
_symmetry_Int_Tables_number 123
_symmetry_space_group_name_Hall '-P 4 2'
loop_
_atom_site_label
_atom_site_fract_x
_atom_site_fract_y
_atom_site_fract_z
Ca1 0.000 0.000 0.000
Y1 0.000 0.500 0.500
Si1 0.500 0.500 0.000
```